Simulated powder X-ray diffraction pattern of DyEr5Ni2 for Cu Kα (λ = 1.5418 Å), from a DFT-relaxed cell (GGA-PBE, Alexandria).

a b c (Å): 3.597 18.168 6.723
angles (deg): 90.00 105.46 90.00
Sites, in units of the cell vectors:
Dy: 0.221 0.250 0.439
Dy: 0.779 0.750 0.561
Er: 0.058 0.750 0.117
Er: 0.176 0.061 0.351
Er: 0.176 0.439 0.351
Er: 0.438 0.086 0.876
Er: 0.438 0.414 0.876
Er: 0.562 0.586 0.124
Er: 0.562 0.914 0.124
Er: 0.824 0.561 0.649
Er: 0.824 0.939 0.649
Er: 0.942 0.250 0.883
Ni: 0.202 0.638 0.406
Ni: 0.202 0.862 0.406
Ni: 0.798 0.138 0.594
Ni: 0.798 0.362 0.594

Main lines, sorted by position (2θ from 10° to 90°):
2theta	Rel. int.
28.0	62.6
29.5	82.3
32.4	62.6
32.5	39.5
35.7	100.0
35.8	88.0
37.2	91.5
43.0	36.3
50.8	34.2
64.6	36.1

=====

Simulated powder X-ray diffraction pattern of CsAc2BiO5 for Cu Kα (λ = 1.5418 Å), from a DFT-relaxed cell (GGA-PBE, Alexandria).

a b c (Å): 7.347 7.347 6.671
angles (deg): 90.00 90.00 90.00
Sites, in units of the cell vectors:
Cs: 0.000 0.000 0.000
Cs: 0.500 0.500 0.000
Ac: 0.180 0.320 0.500
Ac: 0.320 0.820 0.500
Ac: 0.680 0.180 0.500
Ac: 0.820 0.680 0.500
Bi: 0.000 0.500 0.000
Bi: 0.500 0.000 0.000
O: 0.000 0.000 0.500
O: 0.139 0.639 0.265
O: 0.139 0.639 0.735
O: 0.361 0.139 0.265
O: 0.361 0.139 0.735
O: 0.500 0.500 0.500
O: 0.639 0.861 0.265
O: 0.639 0.861 0.735
O: 0.861 0.361 0.265
O: 0.861 0.361 0.735

Main lines, sorted by position (2θ from 10° to 90°):
2theta	Rel. int.
26.7	40.0
27.1	18.8
27.7	100.0
30.3	40.7
34.5	22.4
38.5	30.1
41.1	15.6
44.2	22.3
47.8	23.0
53.2	14.4

=====

Simulated powder X-ray diffraction pattern of SrSmBiI for Cu Kα (λ = 1.5418 Å), from a DFT-relaxed cell (GGA-PBE, Alexandria).

a b c (Å): 16.468 16.468 16.468
angles (deg): 17.28 17.28 17.28
Sites, in units of the cell vectors:
Sr: 0.092 0.092 0.092
Sr: 0.908 0.908 0.908
Sm: 0.310 0.310 0.310
Sm: 0.690 0.690 0.690
Bi: 0.383 0.383 0.383
Bi: 0.617 0.617 0.617
I: 0.207 0.207 0.207
I: 0.793 0.793 0.793

Main lines, sorted by position (2θ from 10° to 90°):
2theta	Rel. int.
21.1	29.2
22.0	58.5
24.4	29.2
27.7	97.0
31.7	45.7
36.3	100.0
37.8	49.4
42.8	22.4
46.3	24.0
60.2	23.4

=====

Simulated powder X-ray diffraction pattern of Pr3Pu2Co4 for Cu Kα (λ = 1.5418 Å), from a DFT-relaxed cell (GGA-PBE, Alexandria).

a b c (Å): 5.975 5.975 8.823
angles (deg): 101.87 101.87 39.38
Sites, in units of the cell vectors:
Pr: 0.000 0.000 0.000
Pr: 0.378 0.378 0.614
Pr: 0.622 0.622 0.386
Pu: 0.320 0.320 0.215
Pu: 0.680 0.680 0.785
Co: 0.085 0.085 0.638
Co: 0.282 0.282 0.914
Co: 0.718 0.718 0.086
Co: 0.915 0.915 0.362

Main lines, sorted by position (2θ from 10° to 90°):
2theta	Rel. int.
25.0	29.3
29.0	37.5
30.3	60.7
31.9	60.2
32.0	45.5
33.1	100.0
40.9	60.7
45.0	37.4
56.3	43.1
58.7	30.2

=====

Simulated powder X-ray diffraction pattern of PmScZn2Pt2 for Cu Kα (λ = 1.5418 Å), from a DFT-relaxed cell (GGA-PBE, Alexandria).

a b c (Å): 4.457 4.457 6.714
angles (deg): 90.00 90.00 120.00
Sites, in units of the cell vectors:
Pm: 0.000 0.000 0.000
Sc: 0.000 0.000 0.500
Zn: 0.333 0.667 0.291
Zn: 0.667 0.333 0.709
Pt: 0.333 0.667 0.714
Pt: 0.667 0.333 0.286

Main lines, sorted by position (2θ from 10° to 90°):
2theta	Rel. int.
26.6	88.7
35.4	100.0
40.5	94.6
49.1	31.4
54.9	28.3
58.4	24.9
65.5	13.0
70.2	17.8
70.4	26.6
73.6	16.0

=====

Simulated powder X-ray diffraction pattern of In5Se5Cl for Cu Kα (λ = 1.5418 Å), from a DFT-relaxed cell (GGA-PBE, Alexandria).

a b c (Å): 9.372 4.170 15.719
angles (deg): 90.00 93.20 90.00
Sites, in units of the cell vectors:
In: 0.054 0.250 0.156
In: 0.128 0.250 0.566
In: 0.231 0.750 0.792
In: 0.339 0.750 0.056
In: 0.392 0.250 0.362
In: 0.608 0.750 0.638
In: 0.661 0.250 0.944
In: 0.769 0.250 0.208
In: 0.872 0.750 0.434
In: 0.946 0.750 0.844
Se: 0.045 0.250 0.398
Se: 0.162 0.250 0.003
Se: 0.218 0.750 0.214
Se: 0.319 0.250 0.697
Se: 0.464 0.750 0.899
Se: 0.536 0.250 0.101
Se: 0.681 0.750 0.303
Se: 0.782 0.250 0.786
Se: 0.838 0.750 0.997
Se: 0.955 0.750 0.602
Cl: 0.328 0.750 0.505
Cl: 0.672 0.250 0.495

Main lines, sorted by position (2θ from 10° to 90°):
2theta	Rel. int.
19.9	50.1
28.7	76.7
29.5	82.6
30.5	100.0
31.3	71.9
35.8	52.2
36.0	50.6
43.4	77.0
45.4	63.1
47.5	48.6

=====

Simulated powder X-ray diffraction pattern of Nd2TmSn2 for Cu Kα (λ = 1.5418 Å), from a DFT-relaxed cell (GGA-PBE, Alexandria).

a b c (Å): 9.513 9.513 6.567
angles (deg): 90.00 90.00 148.95
Sites, in units of the cell vectors:
Nd: 0.000 0.000 0.000
Nd: 0.000 0.000 0.500
Nd: 0.194 0.806 0.751
Nd: 0.806 0.194 0.251
Tm: 0.398 0.602 0.750
Tm: 0.602 0.398 0.250
Sn: 0.186 0.814 0.251
Sn: 0.424 0.576 0.250
Sn: 0.576 0.424 0.750
Sn: 0.814 0.186 0.751

Main lines, sorted by position (2θ from 10° to 90°):
2theta	Rel. int.
27.2	25.5
30.0	100.0
32.8	31.3
33.6	16.3
35.2	37.7
35.7	34.6
40.9	27.2
45.1	13.2
60.1	20.1
64.9	22.7

=====

Simulated powder X-ray diffraction pattern of Ti2Pd2Au5 for Cu Kα (λ = 1.5418 Å), from a DFT-relaxed cell (GGA-PBE, Alexandria).

a b c (Å): 8.360 4.619 4.619
angles (deg): 59.84 90.00 90.00
Sites, in units of the cell vectors:
Ti: 0.166 0.000 0.000
Ti: 0.834 0.000 0.000
Pd: 0.000 0.335 0.335
Pd: 0.500 0.667 0.667
Au: 0.166 0.667 0.667
Au: 0.328 0.333 0.333
Au: 0.500 0.000 0.000
Au: 0.672 0.333 0.333
Au: 0.834 0.667 0.667

Main lines, sorted by position (2θ from 10° to 90°):
2theta	Rel. int.
22.2	10.7
24.7	17.2
31.0	13.5
39.0	100.0
39.4	97.3
56.7	33.8
70.8	11.6
70.9	23.2
71.1	11.6
80.5	24.5

=====

Simulated powder X-ray diffraction pattern of Na16Cd12Sn for Cu Kα (λ = 1.5418 Å), from a DFT-relaxed cell (GGA-PBE, Alexandria).

a b c (Å): 9.966 9.966 10.214
angles (deg): 109.45 109.45 108.31
Sites, in units of the cell vectors:
Na: 0.000 0.000 0.000
Na: 0.001 0.411 0.033
Na: 0.003 0.003 0.355
Na: 0.005 0.646 0.355
Na: 0.012 0.692 0.764
Na: 0.291 0.593 0.945
Na: 0.311 0.311 0.061
Na: 0.332 0.720 0.663
Na: 0.366 0.366 0.681
Na: 0.411 0.001 0.033
Na: 0.429 0.677 0.367
Na: 0.593 0.291 0.945
Na: 0.646 0.005 0.355
Na: 0.677 0.429 0.367
Na: 0.692 0.012 0.764
Na: 0.720 0.332 0.663
Cd: 0.005 0.193 0.710
Cd: 0.007 0.373 0.533
Cd: 0.177 0.357 0.335
Cd: 0.189 0.810 0.174
Cd: 0.193 0.005 0.710
Cd: 0.357 0.177 0.335
Cd: 0.373 0.007 0.533
Cd: 0.644 0.831 0.995
Cd: 0.653 0.653 0.185
Cd: 0.810 0.189 0.174
Cd: 0.826 0.826 0.542
Cd: 0.831 0.644 0.995
Sn: 0.647 0.647 0.681

Main lines, sorted by position (2θ from 10° to 90°):
2theta	Rel. int.
10.7	37.5
18.4	97.5
18.8	37.4
18.9	100.0
32.3	57.5
32.5	42.3
32.6	52.3
32.9	84.8
35.6	59.3
36.5	86.2